[1]
Structure and theoretical PXRD pattern of PrP2H2CO6 (a DFT-relaxed cell (GGA-PBE, Alexandria); Cu Kα (λ = 1.5418 Å)).
Kinematic intensities with the Lorentz-polarization factor, no thermal factor.

Structural model:
```
data_PrP2H2CO6
_cell_length_a 8.2999
_cell_length_b 14.4110
_cell_length_c 5.3525
_cell_angle_alpha 90.00
_cell_angle_beta 109.74
_cell_angle_gamma 90.00
_symmetry_space_group_name_H-M 'C 1 2/m 1'
_symmetry_Int_Tables_number 12
loop_
_symmetry_equiv_pos_as_xyz
'x,y,z'
'-x,-y,-z'
'-x,y,-z'
'x,-y,z'
'x+1/2,y+1/2,z'
'-x+1/2,-y+1/2,-z'
'-x+1/2,y+1/2,-z'
'x+1/2,-y+1/2,z'
loop_
_atom_site_label
_atom_site_fract_x
_atom_site_fract_y
_atom_site_fract_z
Pr1 0.0000 0.2278 0.0000
P1 0.2394 0.3893 0.3797
H1 0.0970 0.0000 0.7534
H2 0.1878 0.5000 0.0312
C1 0.2310 0.0000 0.7581
O1 0.0434 0.3691 0.3140
O2 0.1527 0.1170 0.3289
O3 0.2135 0.1847 0.7966
```

Main lines, low angle first (15° ≤ 2θ ≤ 90°):
Position (°2θ), intensity
21.52, 1000
23.64, 740
25.95, 562
26.73, 334
30.50, 873
33.85, 321
35.76, 277
37.48, 253
43.55, 241
45.55, 297

---

[2]
Structure and theoretical PXRD pattern of Ce2SmH8 (a DFT-relaxed cell (GGA-PBE, Alexandria); Cu Kα (λ = 1.5418 Å)).
Kinematic intensities with the Lorentz-polarization factor, no thermal factor.

Structural model:
```
data_Ce2SmH8
_cell_length_a 3.8547
_cell_length_b 5.2620
_cell_length_c 11.5749
_cell_angle_alpha 90.00
_cell_angle_beta 90.00
_cell_angle_gamma 90.00
_symmetry_space_group_name_H-M 'I m m m'
_symmetry_Int_Tables_number 71
_symmetry_space_group_name_Hall '-I 2 2'
loop_
_atom_site_label
_atom_site_fract_x
_atom_site_fract_y
_atom_site_fract_z
Ce1 0.0000 0.0000 0.1716
Sm1 0.0000 0.0000 0.5000
H1 0.0000 0.2385 0.0000
H2 0.0000 0.2589 0.3423
H3 0.0000 0.5000 0.1707
```

Main lines, low angle first (15° ≤ 2θ ≤ 90°):
Position (°2θ), intensity
28.70, 1000
32.84, 346
34.08, 158
47.13, 134
48.05, 255
56.12, 303
57.74, 141
59.43, 127
77.64, 117
88.34, 88

---

[3]
Structure and theoretical PXRD pattern of Pm7Er12Cd (a DFT-relaxed cell (GGA-PBE, Alexandria); Cu Kα (λ = 1.5418 Å)).
Kinematic intensities with the Lorentz-polarization factor, no thermal factor.

Structural model:
```
data_Pm7Er12Cd
_cell_length_a 8.4184
_cell_length_b 9.0416
_cell_length_c 9.7811
_cell_angle_alpha 74.53
_cell_angle_beta 78.52
_cell_angle_gamma 63.37
_symmetry_space_group_name_H-M 'P -1'
_symmetry_Int_Tables_number 2
loop_
_symmetry_equiv_pos_as_xyz
'x,y,z'
'-x,-y,-z'
loop_
_atom_site_label
_atom_site_fract_x
_atom_site_fract_y
_atom_site_fract_z
Pm1 0.0000 0.0000 0.0000
Pm2 0.0915 0.3354 0.1527
Pm3 0.3293 0.9232 0.2885
Pm4 0.4147 0.2186 0.4143
Er1 0.1163 0.0320 0.6252
Er2 0.2196 0.2734 0.7966
Er3 0.2239 0.6296 0.2299
Er4 0.2729 0.6170 0.5641
Er5 0.3336 0.5628 0.8960
Er6 0.4594 0.8553 0.9395
Cd1 0.0000 0.5000 0.5000
```

Main lines, low angle first (15° ≤ 2θ ≤ 90°):
Position (°2θ), intensity
30.33, 581
30.87, 586
31.77, 175
31.90, 1000
32.31, 236
32.55, 769
32.72, 174
32.84, 640
33.43, 324
35.49, 175

---

[4]
Structure and theoretical PXRD pattern of AcTbAgSn (a DFT-relaxed cell (GGA-PBE, Alexandria); Cu Kα (λ = 1.5418 Å)).
Kinematic intensities with the Lorentz-polarization factor, no thermal factor.

Structural model:
```
data_AcTbAgSn
_cell_length_a 7.7788
_cell_length_b 7.7788
_cell_length_c 7.7788
_cell_angle_alpha 90.00
_cell_angle_beta 90.00
_cell_angle_gamma 90.00
_symmetry_space_group_name_H-M 'F -4 3 m'
_symmetry_Int_Tables_number 216
_symmetry_space_group_name_Hall 'F -4 2 3'
loop_
_atom_site_label
_atom_site_fract_x
_atom_site_fract_y
_atom_site_fract_z
Ac1 0.0000 0.0000 0.0000
Tb1 0.0000 0.0000 0.5000
Ag1 0.2500 0.2500 0.2500
Sn1 0.2500 0.2500 0.7500
```

Main lines, low angle first (15° ≤ 2θ ≤ 90°):
Position (°2θ), intensity
19.77, 23
22.86, 65
32.56, 1000
40.16, 21
46.71, 184
52.62, 30
58.09, 387
68.20, 120
77.63, 168
86.73, 44

---

[5]
Structure and theoretical PXRD pattern of DyInSn3 (a DFT-relaxed cell (GGA-PBE, Alexandria); Cu Kα (λ = 1.5418 Å)).
Kinematic intensities with the Lorentz-polarization factor, no thermal factor.

Structural model:
```
data_DyInSn3
_cell_length_a 13.3089
_cell_length_b 6.2699
_cell_length_c 6.3931
_cell_angle_alpha 90.00
_cell_angle_beta 90.00
_cell_angle_gamma 90.00
_symmetry_space_group_name_H-M 'P b c m'
_symmetry_Int_Tables_number 57
loop_
_symmetry_equiv_pos_as_xyz
'x,y,z'
'-x,-y,-z'
'-x,-y,z+1/2'
'x,y,-z+1/2'
'x,-y+1/2,-z'
'-x,y+1/2,z'
'-x,y+1/2,-z+1/2'
'x,-y+1/2,z+1/2'
loop_
_atom_site_label
_atom_site_fract_x
_atom_site_fract_y
_atom_site_fract_z
Dy1 0.1883 0.0112 0.2500
In1 0.3809 0.2500 0.0000
Sn1 0.0007 0.2500 0.0000
Sn2 0.2115 0.5152 0.2500
Sn3 0.4143 0.7120 0.7500
```

Main lines, low angle first (15° ≤ 2θ ≤ 90°):
Position (°2θ), intensity
31.04, 565
31.55, 1000
33.67, 919
34.25, 497
34.59, 890
35.05, 850
37.53, 336
40.29, 538
40.89, 296
53.49, 411